Entry 1:
# CaZrCd
Simulated XRD peak list, Cu Kα (weighted mean of Kα1 and Kα2). Input: a GGA-PBE-relaxed structure.
Peak positions follow from Bragg's law for the DFT cell and can differ from measured ones.

Atomic structure:
a b c (Å): 3.314 6.755 7.519
angles (deg): 102.87 90.23 104.09
Space group P-1 (No. 2)
Inequivalent atoms, fractional coordinates:
Ca1 0.023 0.045 0.273 [2 per cell]
Zr1 0.294 0.593 0.373 [2 per cell]
Cd1 0.343 0.683 0.967 [2 per cell]

Principal peaks in the range 10° ≤ 2θ ≤ 90°, by angle:
- 13.89°, 6.375 Å, I = 615, (0 1 0)
- 30.86°, 2.897 Å, I = 387, (0 1 2)
- 32.73°, 2.736 Å, I = 615, (0 2 -2)
- 33.14°, 2.703 Å, I = 326, (0 2 1)
- 34.31°, 2.613 Å, I = 1000, (1 -2 0)
- 36.08°, 2.489 Å, I = 451, (1 0 -2)
- 36.24°, 2.479 Å, I = 470, (1 -1 2)
- 36.86°, 2.439 Å, I = 263, (0 0 3)

***

Entry 2:
# PmNd2OsC2
Simulated XRD peak list, Cu Kα (weighted mean of Kα1 and Kα2). Input: a GGA-PBE-relaxed structure.
Peak positions follow from Bragg's law for the DFT cell and can differ from measured ones.

Atomic structure:
a b c (Å): 5.752 11.370 3.901
angles (deg): 90.00 90.00 90.00
Space group Pnnm (No. 58)
Inequivalent atoms, fractional coordinates:
Pm1 0.000 0.000 0.000 [2 per cell]
Nd1 0.039 0.294 0.500 [4 per cell]
Os1 0.000 0.500 0.000 [2 per cell]
C1 0.239 0.889 0.500 [4 per cell]

Principal peaks in the range 10° ≤ 2θ ≤ 90°, by angle:
- 17.28°, 5.133 Å, I = 86, (1 1 0)
- 31.09°, 2.876 Å, I = 261, (2 0 0)
- 31.47°, 2.842 Å, I = 155, (0 4 0)
- 31.88°, 2.807 Å, I = 1000, (1 2 1)
- 44.83°, 2.022 Å, I = 130, (2 4 0)
- 46.57°, 1.950 Å, I = 110, (0 0 2)
- 55.82°, 1.647 Å, I = 168, (3 2 1)
- 57.05°, 1.614 Å, I = 96, (2 0 2)

***

Entry 3:
# Ca3TbY3Te8
Simulated XRD peak list, Cu Kα (weighted mean of Kα1 and Kα2). Input: a GGA-PBE-relaxed structure.
Peak positions follow from Bragg's law for the DFT cell and can differ from measured ones.

Atomic structure:
a b c (Å): 8.7651 8.7651 22.0151
angles (deg): 90.00 90.00 120.00
Space group R-3m (No. 166, hexagonal axes)
Inequivalent atoms, fractional coordinates:
Ca1 0.0000 0.5000 0.0000 [9 per cell]
Tb1 0.0000 0.0000 0.5000 [3 per cell]
Y1 0.0000 0.5000 0.5000 [9 per cell]
Te1 0.0000 0.0000 0.2484 [6 per cell]
Te2 0.0045 0.5023 0.7513 [18 per cell]

Principal peaks in the range 10° ≤ 2θ ≤ 90°, by angle:
- 28.57°, 3.125 Å, I = 1000, (0 2 4)
- 40.49°, 2.228 Å, I = 384, (2 0 8)
- 41.20°, 2.191 Å, I = 366, (2 2 0)
- 50.90°, 1.794 Å, I = 196, (4 0 4)
- 59.14°, 1.562 Å, I = 123, (0 4 8)
- 66.47°, 1.407 Å, I = 171, (2 2 12)
- 67.47°, 1.388 Å, I = 164, (2 4 4)
- 74.61°, 1.272 Å, I = 122, (4 2 8)

***

Entry 4:
# NiAsPPtC
Simulated XRD peak list, Cu Kα (weighted mean of Kα1 and Kα2). Input: a GGA-PBE-relaxed structure.
Peak positions follow from Bragg's law for the DFT cell and can differ from measured ones.

Atomic structure:
a b c (Å): 7.359 3.654 5.803
angles (deg): 90.00 98.60 90.00
Space group Cm (No. 8)
Inequivalent atoms, fractional coordinates:
Ni1 0.000 0.000 0.000 [2 per cell]
As1 0.466 0.000 0.398 [2 per cell]
P1 0.246 0.000 0.847 [2 per cell]
Pt1 0.297 0.500 0.592 [2 per cell]
C1 0.451 0.000 0.059 [2 per cell]

Principal peaks in the range 10° ≤ 2θ ≤ 90°, by angle:
- 15.44°, 5.738 Å, I = 668, (0 0 1)
- 26.99°, 3.304 Å, I = 253, (2 0 -1)
- 27.31°, 3.266 Å, I = 295, (1 1 0)
- 30.58°, 2.924 Å, I = 1000, (1 1 -1)
- 31.01°, 2.884 Å, I = 475, (2 0 1)
- 40.43°, 2.231 Å, I = 343, (1 1 -2)
- 43.36°, 2.087 Å, I = 345, (1 1 2)
- 45.70°, 1.985 Å, I = 345, (3 1 -1)